Entry 1:
Simulated powder diffraction line list
Compound: Sm3Ga5Ir6
Radiation: a wavelength of 1.5418 Å
Structure: a DFT-relaxed cell (GGA-PBE, Alexandria)
Lines closer than 0.1° are merged.

Main lines, low angle first (2θ = 5–70°):
2θ = 19.45°, d = 4.564 Å, rel. 16
2θ = 31.03°, d = 2.882 Å, rel. 24
2θ = 35.50°, d = 2.529 Å, rel. 100
2θ = 36.17°, d = 2.483 Å, rel. 75
2θ = 38.88°, d = 2.316 Å, rel. 42
2θ = 40.78°, d = 2.213 Å, rel. 19
2θ = 42.00°, d = 2.151 Å, rel. 63
2θ = 42.16°, d = 2.144 Å, rel. 52
2θ = 56.72°, d = 1.623 Å, rel. 21
2θ = 61.00°, d = 1.519 Å, rel. 21

Atomic structure:
abc: 4.2872 12.9163 9.1279
angles: 90.00 90.00 90.00
Space group Pmmn (No. 59, origin choice 2)
Inequivalent atoms, fractional coordinates:
Sm  0.2500  0.0539  0.2454 [4 per cell]
Sm  0.2500  0.7500  0.2321 [2 per cell]
Ga  0.2500  0.0945  0.8709 [4 per cell]
Ga  0.2500  0.6302  0.5277 [4 per cell]
Ga  0.2500  0.7500  0.8056 [2 per cell]
Ir  0.2500  0.0646  0.5959 [4 per cell]
Ir  0.2500  0.2500  0.0391 [2 per cell]
Ir  0.2500  0.2500  0.4248 [2 per cell]
Ir  0.2500  0.5883  0.9821 [4 per cell]

Entry 2:
Simulated powder diffraction line list
Compound: SmGa4Ir3
Radiation: a wavelength of 1.5418 Å
Structure: a DFT-relaxed cell (GGA-PBE, Alexandria)
Lines closer than 0.1° are merged.

Main lines, low angle first (2θ = 5–70°):
2θ = 23.76°, d = 3.744 Å, rel. 59
2θ = 30.07°, d = 2.972 Å, rel. 100
2θ = 30.27°, d = 2.953 Å, rel. 42
2θ = 32.11°, d = 2.788 Å, rel. 41
2θ = 37.13°, d = 2.421 Å, rel. 44
2θ = 43.34°, d = 2.088 Å, rel. 92
2θ = 44.42°, d = 2.039 Å, rel. 80
2θ = 48.23°, d = 1.887 Å, rel. 56
2θ = 53.65°, d = 1.708 Å, rel. 40
2θ = 66.83°, d = 1.400 Å, rel. 42

Atomic structure:
abc: 4.1755 4.1755 8.4602
angles: 90.00 90.00 90.00
Space group P4/mmm (No. 123)
Inequivalent atoms, fractional coordinates:
Sm  0.0000  0.0000  0.0000 [1 per cell]
Ga  0.0000  0.5000  0.3238 [4 per cell]
Ir  0.0000  0.0000  0.5000 [1 per cell]
Ir  0.5000  0.5000  0.1496 [2 per cell]